For BaCuHgCl6, a cell relaxed with GGA-PBE gives the computed XRD peak list in this record (Cu Kα).
Peak positions follow from Bragg's law for the DFT cell and can differ from measured ones.

Top 10 peaks for 2θ = 10–90°, sorted by position:
| 2θ (°) | Rel. int. | h k l |
| --- | --- | --- |
| 13.3 | 83.5 | 0 1 0 |
| 18.0 | 78.3 | 0 1 -1 |
| 18.7 | 74.3 | 1 -1 0 |
| 19.8 | 52.2 | 0 1 1 |
| 20.5 | 85.8 | -1 1 1 |
| 22.4 | 100.0 | 1 1 -1 |
| 24.0 | 46.7 | 1 0 1 |
| 25.4 | 47.2 | 1 -1 1 |
| 33.0 | 69.8 | 1 -2 1 |
| 41.0 | 46.7 | 0 0 3 |

Cell and atoms:
abc: 6.100 6.761 7.041
angles: 91.96 109.54 99.06
Space group P1 (No. 1)
Symmetry-distinct sites (fractional):
1 Ba 0.000 0.000 0.000 x1
2 Cu 0.272 0.487 0.687 x1
3 Hg 0.625 0.478 0.307 x1
4 Cl 0.268 0.635 0.984 x1
5 Cl 0.299 0.287 0.415 x1
6 Cl 0.550 0.179 0.029 x1
7 Cl 0.579 0.715 0.678 x1
8 Cl 0.932 0.271 0.644 x1
9 Cl 0.962 0.747 0.362 x1

***

For BaMgCuCl6, a cell relaxed with GGA-PBE gives the computed XRD peak list in this record (Cu Kα).
Peak positions follow from Bragg's law for the DFT cell and can differ from measured ones.

Top 10 peaks for 2θ = 10–90°, sorted by position:
| 2θ (°) | Rel. int. | h k l |
| --- | --- | --- |
| 19.3 | 100.0 | 0 1 -1 |
| 21.1 | 43.3 | 0 1 1 |
| 21.3 | 85.1 | -1 1 1 |
| 21.4 | 41.1 | 1 -1 1 |
| 30.7 | 54.4 | -2 1 1 |
| 35.3 | 40.7 | 1 1 -2 |
| 38.3 | 31.5 | 1 -2 2 |
| 40.2 | 32.1 | -1 2 2 |
| 40.4 | 30.4 | 2 -1 2 |
| 47.0 | 29.4 | 3 0 0 |

Cell and atoms:
abc: 6.348 6.380 6.711
angles: 93.23 93.57 113.52
Space group P1 (No. 1)
Symmetry-distinct sites (fractional):
1 Ba 0.000 0.000 0.000 x1
2 Mg 0.344 0.662 0.502 x1
3 Cu 0.692 0.317 0.497 x1
4 Cl 0.026 0.351 0.680 x1
5 Cl 0.034 0.621 0.250 x1
6 Cl 0.385 0.964 0.758 x1
7 Cl 0.416 0.359 0.283 x1
8 Cl 0.646 0.585 0.717 x1
9 Cl 0.650 0.979 0.322 x1

***

For BaNaCuClO2, a cell relaxed with GGA-PBE gives the computed XRD peak list in this record (Cu Kα).
Peak positions follow from Bragg's law for the DFT cell and can differ from measured ones.

Top 10 peaks for 2θ = 10–90°, sorted by position:
| 2θ (°) | Rel. int. | h k l |
| --- | --- | --- |
| 12.3 | 69.6 | 0 0 1 |
| 25.6 | 43.3 | 1 0 1 |
| 31.9 | 46.4 | 1 1 0 |
| 33.6 | 100.0 | 1 0 2 |
| 34.3 | 14.9 | 1 1 1 |
| 45.7 | 27.0 | 2 0 0 |
| 53.1 | 11.7 | 2 1 1 |
| 57.9 | 39.0 | 2 1 2 |
| 61.3 | 11.1 | 1 1 4 |
| 70.7 | 11.1 | 2 0 4 |

Cell and atoms:
abc: 3.970 3.970 7.186
angles: 90.00 90.00 90.00
Space group P4mm (No. 99)
Symmetry-distinct sites (fractional):
1 Ba 0.000 0.000 0.000 x1
2 Na 0.000 0.000 0.558 x1
3 Cu 0.500 0.500 0.736 x1
4 Cl 0.500 0.500 0.253 x1
5 O 0.000 0.500 0.755 x2

***

For BaTl2Cu2Cl7, a cell relaxed with GGA-PBE gives the computed XRD peak list in this record (Cu Kα).
Peak positions follow from Bragg's law for the DFT cell and can differ from measured ones.

Top 10 peaks for 2θ = 10–90°, sorted by position:
| 2θ (°) | Rel. int. | h k l |
| --- | --- | --- |
| 25.1 | 100.0 | 1 1 2 |
| 25.6 | 71.9 | 0 2 0 |
| 33.2 | 54.8 | 2 0 2 |
| 34.9 | 20.4 | 0 0 5 |
| 36.6 | 60.2 | 2 2 -1 |
| 43.8 | 20.3 | 2 0 -6 |
| 44.8 | 44.3 | 3 1 -4 |
| 51.4 | 25.6 | 2 2 -6 |
| 52.7 | 20.2 | 0 4 0 |
| 63.7 | 23.5 | 2 0 7 |

Cell and atoms:
abc: 6.949 6.949 13.324
angles: 90.00 105.04 90.00
Space group C2/m (No. 12)
Symmetry-distinct sites (fractional):
1 Ba 0.000 0.000 0.000 x2
2 Tl 0.184 0.000 0.369 x4
3 Cu 0.098 0.500 0.198 x4
4 Cl 0.000 0.500 0.000 x2
5 Cl 0.161 0.250 0.821 x8
6 Cl 0.191 0.500 0.386 x4

***

For Ba2ErCl7, a cell relaxed with GGA-PBE gives the computed XRD peak list in this record (Cu Kα).
Peak positions follow from Bragg's law for the DFT cell and can differ from measured ones.

Top 10 peaks for 2θ = 10–90°, sorted by position:
| 2θ (°) | Rel. int. | h k l |
| --- | --- | --- |
| 21.1 | 33.1 | 1 0 2 |
| 21.3 | 100.0 | 1 3 0 |
| 21.7 | 57.9 | 1 1 -2 |
| 21.9 | 33.4 | 1 1 2 |
| 23.0 | 30.1 | 1 3 1 |
| 25.6 | 34.3 | 2 0 0 |
| 34.2 | 51.1 | 0 1 4 |
| 35.5 | 82.0 | 0 6 1 |
| 37.8 | 59.6 | 2 2 -3 |
| 42.7 | 41.2 | 3 0 2 |

Cell and atoms:
abc: 6.961 15.628 10.643
angles: 90.00 90.61 90.00
Space group P2_1/c (No. 14)
Symmetry-distinct sites (fractional):
1 Ba 0.231 0.219 0.453 x4
2 Ba 0.233 0.560 0.324 x4
3 Er 0.279 0.627 0.780 x4
4 Cl 0.013 0.742 0.300 x4
5 Cl 0.014 0.606 0.585 x4
6 Cl 0.198 0.038 0.288 x4
7 Cl 0.198 0.637 0.023 x4
8 Cl 0.382 0.070 0.624 x4
9 Cl 0.497 0.605 0.573 x4
10 Cl 0.497 0.728 0.292 x4